Starting from the GGA-PBE geometry in the Materials Project, the X-ray powder pattern of BeAg3 was computed for a wavelength of 1.5418 Å.
Kinematic intensities with the Lorentz-polarization factor, no thermal factor.

```
BeAg3
1.0
3.991 0.000 0.000
0.000 3.991 0.000
0.000 0.000 3.991
Be Ag
1 3
Direct
0.000 0.000 0.000
0.000 0.500 0.500
0.500 0.000 0.500
0.500 0.500 0.000
```

Top 10 peaks for 2θ from 10° to 90°, in order of falling intensity:
2θ (°), I_rel, h k l
39.1, 100.0, 1 1 1
45.5, 47.9, 2 0 0
79.7, 34.6, 3 1 1
22.3, 30.9, 1 0 0
66.2, 29.3, 2 2 0
31.7, 25.7, 1 1 0
51.2, 12.8, 2 1 0
84.0, 10.2, 2 2 2
56.5, 9.3, 2 1 1
70.8, 5.7, 3 0 0